Starting from DFT lattice parameters and positions (PBE), the PXRD pattern of Zn was computed for Cu Kα X-rays.
No peak broadening, texture or thermal motion is included.

Structure:
```
Zn
1.0
2.635 0.000 0.000
0.000 4.695 0.000
0.000 0.000 4.621
Zn
4
direct
0.000 0.155 0.250 Zn
0.000 0.845 0.750 Zn
0.500 0.345 0.750 Zn
0.500 0.655 0.250 Zn
```

Principal peaks in the range 2θ = 10–80°, most intense first:
2θ 44.01, d = 2.058 Å, I 100, hkl 1 1 1; 2θ 43.23, d = 2.093 Å, I 66, hkl 0 2 1; 2θ 38.98, d = 2.310 Å, I 52, hkl 0 0 2; 2θ 39.20, d = 2.298 Å, I 32, hkl 1 1 0; 2θ 56.48, d = 1.629 Å, I 21, hkl 1 1 2; 2θ 74.10, d = 1.279 Å, I 19, hkl 1 1 3; 2θ 69.91, d = 1.346 Å, I 16, hkl 1 3 0; 2θ 73.54, d = 1.288 Å, I 12, hkl 0 2 3